Entry 1:
Computed powder diffraction line list of Er8Ru2Pb for Cu Kα, 1.54184 Å, from DFT lattice parameters and positions (GGA-PBE).

Largest 10 diffraction maxima, in order of rising 2θ, 10° ≤ 2θ ≤ 90°:
d/Å, two_theta, intensity, h k l
3.171, 28.1, 21, 4 0 -2
2.891, 30.9, 19, 6 0 -1
2.880, 31.1, 85, 3 1 1
2.839, 31.5, 71, 1 1 -2
2.719, 32.9, 50, 5 1 0
2.619, 34.2, 84, 0 2 0
2.535, 35.4, 100, 1 1 2
2.238, 40.3, 20, 7 1 -1
1.507, 61.5, 24, 11 1 -2
1.495, 62.1, 20, 1 3 2

Cell and atoms:
Lattice parameters (Å, degrees): 17.3444 5.2373 6.9162 90.00 113.47 90.00
Space group Cm (No. 8)
One atom of each set of equivalent atoms:
Er 0.0000 0.0000 0.0000
Er 0.0015 0.5000 0.2638
Er 0.1102 0.0000 0.6378
Er 0.1719 0.5000 0.0727
Er 0.2145 0.5000 0.5717
Er 0.2878 0.0000 0.1478
Er 0.3295 0.0000 0.7327
Er 0.3924 0.5000 0.4184
Ru 0.1728 0.0000 0.3380
Ru 0.3280 0.5000 0.9933
Pb 0.0005 0.5000 0.6992

Entry 2:
Computed powder diffraction line list of Na3Al2Cd9 for Cu Kα, 1.54184 Å, from DFT lattice parameters and positions (GGA-PBE).

Largest 10 diffraction maxima, in order of rising 2θ, 10° ≤ 2θ ≤ 90°:
d/Å, two_theta, intensity, h k l
5.594, 15.8, 34, 0 2 0
4.260, 20.9, 96, 1 1 0
3.232, 27.6, 49, 0 0 4
2.899, 30.8, 60, 1 3 0
2.799, 32.0, 48, 0 2 4
2.743, 32.6, 100, 1 2 3
2.575, 34.8, 40, 1 1 4
2.351, 38.3, 88, 1 4 1
2.304, 39.1, 67, 2 0 0
2.158, 41.9, 97, 1 3 4

Cell and atoms:
Lattice parameters (Å, degrees): 4.6073 11.1886 12.9278 90.00 90.00 90.00
Space group Immm (No. 71)
One atom of each set of equivalent atoms:
Na 0.0000 0.0000 0.0000
Na 0.0000 0.0000 0.2825
Al 0.0000 0.1572 0.5000
Cd 0.0000 0.2883 0.1471
Cd 0.0000 0.3707 0.3724
Cd 0.0000 0.5000 0.0000

Entry 3:
Computed powder diffraction line list of LaB4Ir4 for Cu Kα, 1.54184 Å, from DFT lattice parameters and positions (GGA-PBE).

Largest 10 diffraction maxima, in order of rising 2θ, 10° ≤ 2θ ≤ 90°:
d/Å, two_theta, intensity, h k l
3.113, 28.7, 63, 1 0 2
2.569, 34.9, 100, 2 0 1
2.324, 38.7, 71, 2 1 1
2.292, 39.3, 52, 1 0 3
2.053, 44.1, 46, 2 1 2
1.931, 47.1, 28, 2 2 0
1.365, 68.8, 18, 4 0 0
1.352, 69.5, 32, 2 2 4
1.325, 71.2, 20, 2 0 5
1.205, 79.5, 21, 4 2 1

Cell and atoms:
Lattice parameters (Å, degrees): 5.4607 5.4607 7.5769 90.00 90.00 90.00
Space group P4_2/nmc (No. 137, origin choice 2)
One atom of each set of equivalent atoms:
La 0.2500 0.7500 0.2500
B 0.0785 0.2500 0.0918
Ir 0.0008 0.7500 0.6102

Entry 4:
Computed powder diffraction line list of Nb5Cr3Se20 for Cu Kα, 1.54184 Å, from DFT lattice parameters and positions (GGA-PBE).

Largest 10 diffraction maxima, in order of rising 2θ, 10° ≤ 2θ ≤ 90°:
d/Å, two_theta, intensity, h k l
8.504, 10.4, 17, 1 0 1
5.464, 16.2, 34, 1 0 -3
2.863, 31.2, 100, 1 1 3
2.584, 34.7, 35, 4 0 -2
2.388, 37.7, 16, 1 1 5
2.272, 39.7, 30, 0 1 6
2.125, 42.5, 31, 3 1 -5
2.086, 43.4, 16, 4 1 -2
1.767, 51.7, 22, 0 2 0
1.458, 63.8, 11, 4 2 -2

Cell and atoms:
Lattice parameters (Å, degrees): 10.4737 3.5331 17.9450 90.00 97.43 90.00
Space group Pm (No. 6)
One atom of each set of equivalent atoms:
Nb 0.0000 0.0000 0.0000
Nb 0.0433 0.5000 0.7825
Nb 0.1349 0.5000 0.4176
Nb 0.4962 0.0000 0.4999
Nb 0.5524 0.5000 0.2835
Cr 0.3816 0.0000 0.8574
Cr 0.6615 0.5000 0.9252
Cr 0.8890 0.0000 0.3641
Se 0.0481 0.0000 0.6710
Se 0.0990 0.0000 0.3108
Se 0.1479 0.0000 0.8831
Se 0.1850 0.5000 0.0520
Se 0.2386 0.0000 0.5175
Se 0.2996 0.5000 0.7621
Se 0.3713 0.0000 0.2285
Se 0.3954 0.5000 0.3973
Se 0.4382 0.5000 0.9563
Se 0.4858 0.5000 0.6123
Se 0.5627 0.0000 0.1716
Se 0.6049 0.0000 0.8263
Se 0.6530 0.0000 0.3855
Se 0.6772 0.5000 0.5558
Se 0.7436 0.0000 0.0204
Se 0.8106 0.5000 0.2698
Se 0.8583 0.0000 0.7306
Se 0.8952 0.5000 0.8994
Se 0.9242 0.5000 0.4664
Se 0.9950 0.5000 0.1114

Entry 5:
Computed powder diffraction line list of Er3Tm4Rh4 for Cu Kα, 1.54184 Å, from DFT lattice parameters and positions (GGA-PBE).

Largest 10 diffraction maxima, in order of rising 2θ, 10° ≤ 2θ ≤ 90°:
d/Å, two_theta, intensity, h k l
2.998, 29.8, 16, 1 0 3
2.962, 30.2, 18, 0 1 5
2.768, 32.3, 72, 1 2 1
2.561, 35.0, 100, 0 3 3
2.384, 37.7, 15, 1 0 5
2.252, 40.0, 25, 0 2 6
2.199, 41.1, 26, 0 4 0
1.827, 49.9, 18, 2 0 0
1.487, 62.4, 16, 2 3 3
1.471, 63.2, 20, 1 5 4

Cell and atoms:
Lattice parameters (Å, degrees): 3.6538 8.8063 15.7276 90.00 90.00 90.00
Space group Immm (No. 71)
One atom of each set of equivalent atoms:
Er 0.0000 0.0000 0.0000
Er 0.0000 0.5000 0.1029
Tm 0.0000 0.3127 0.3349
Rh 0.0000 0.0000 0.2505
Rh 0.0000 0.2119 0.5000

Entry 6:
Computed powder diffraction line list of K3Nd3MnS8 for Cu Kα, 1.54184 Å, from DFT lattice parameters and positions (GGA-PBE).

Largest 10 diffraction maxima, in order of rising 2θ, 10° ≤ 2θ ≤ 90°:
d/Å, two_theta, intensity, h k l
7.508, 11.8, 92, 0 0 3
3.754, 23.7, 14, 0 0 6
3.459, 25.8, 23, 0 2 1
3.343, 26.7, 25, 2 0 2
2.973, 30.1, 100, 0 2 4
2.369, 38.0, 23, 0 2 7
2.194, 41.1, 33, 2 0 8
2.021, 44.8, 31, 2 2 0
1.952, 46.5, 17, 2 2 3
1.672, 54.9, 15, 4 0 4

Cell and atoms:
Lattice parameters (Å, degrees): 8.0850 8.0850 22.5250 90.00 90.00 120.00
Space group R-3m (No. 166, hexagonal axes)
One atom of each set of equivalent atoms:
K 0.0000 0.5000 0.0000
Nd 0.0000 0.5000 0.5000
Mn 0.0000 0.0000 0.5000
S 0.0000 0.0000 0.2367
S 0.0433 0.5217 0.2286

Entry 7:
Computed powder diffraction line list of NaFe3Br9 for Cu Kα, 1.54184 Å, from DFT lattice parameters and positions (GGA-PBE).

Largest 10 diffraction maxima, in order of rising 2θ, 10° ≤ 2θ ≤ 90°:
d/Å, two_theta, intensity, h k l
5.470, 16.2, 60, 1 1 1
5.138, 17.3, 83, 3 1 -2
3.559, 25.0, 61, 5 1 -2
3.535, 25.2, 34, 0 2 2
3.512, 25.4, 36, 5 1 -3
3.332, 26.8, 49, 2 0 2
3.289, 27.1, 100, 2 2 -3
3.266, 27.3, 33, 4 2 -1
3.242, 27.5, 59, 2 0 -4
2.843, 31.5, 34, 3 3 -1

Cell and atoms:
Lattice parameters (Å, degrees): 19.3597 9.5788 13.9600 90.00 131.36 90.00
Space group Cc (No. 9)
One atom of each set of equivalent atoms:
Na 0.0000 0.2193 0.0000
Fe 0.1333 0.4231 0.8189
Fe 0.2548 0.0946 0.7795
Fe 0.3398 0.3933 0.6576
Br 0.0220 0.3133 0.8111
Br 0.0792 0.4975 0.6204
Br 0.1084 0.0650 0.5812
Br 0.1845 0.3628 0.4493
Br 0.2673 0.2716 0.9207
Br 0.3162 0.1056 0.4037
Br 0.3346 0.4301 0.2674
Br 0.3665 0.1646 0.7589
Br 0.4589 0.4155 0.6560

Entry 8:
Computed powder diffraction line list of TmCo5P3 for Cu Kα, 1.54184 Å, from DFT lattice parameters and positions (GGA-PBE).

Largest 10 diffraction maxima, in order of rising 2θ, 10° ≤ 2θ ≤ 90°:
d/Å, two_theta, intensity, h k l
3.281, 27.2, 21, 1 1 1
2.949, 30.3, 15, 2 0 3
2.502, 35.9, 15, 1 0 4
2.357, 38.2, 20, 3 1 2
2.288, 39.4, 100, 2 1 3
2.276, 39.6, 69, 4 1 0
2.220, 40.6, 27, 4 0 3
1.813, 50.3, 34, 0 2 0
1.692, 54.2, 23, 6 0 3
1.237, 77.1, 15, 6 2 3

Cell and atoms:
Lattice parameters (Å, degrees): 11.6868 3.6257 10.2458 90.00 90.00 90.00
Space group Pnma (No. 62)
One atom of each set of equivalent atoms:
Tm 0.2028 0.2500 0.0828
Co 0.0078 0.7500 0.7173
Co 0.0129 0.7500 0.0928
Co 0.0685 0.7500 0.4676
Co 0.1763 0.2500 0.7788
Co 0.1988 0.2500 0.3830
P 0.1093 0.7500 0.8990
P 0.1128 0.2500 0.5816
P 0.1302 0.7500 0.2696

Entry 9:
Computed powder diffraction line list of BaLa2Pt9 for Cu Kα, 1.54184 Å, from DFT lattice parameters and positions (GGA-PBE).

Largest 10 diffraction maxima, in order of rising 2θ, 10° ≤ 2θ ≤ 90°:
d/Å, two_theta, intensity, h k l
4.755, 18.7, 30, 1 0 1
2.789, 32.1, 19, 1 1 0
2.406, 37.4, 29, 0 2 1
2.366, 38.0, 100, 1 1 6
2.232, 40.4, 28, 0 0 12
2.202, 41.0, 52, 2 0 5
2.174, 41.5, 21, 0 1 11
1.515, 61.2, 25, 0 3 6
1.395, 67.1, 29, 2 2 0
1.183, 81.4, 22, 2 2 12

Cell and atoms:
Lattice parameters (Å, degrees): 5.5788 5.5788 26.7829 90.00 90.00 120.00
Space group R-3m (No. 166, hexagonal axes)
One atom of each set of equivalent atoms:
Ba 0.0000 0.0000 0.0000
La 0.0000 0.0000 0.1391
Pt 0.0000 0.0000 0.3316
Pt 0.0000 0.0000 0.5000
Pt 0.0035 0.5018 0.9151

Entry 10:
Computed powder diffraction line list of MgZn7Ir4 for Cu Kα, 1.54184 Å, from DFT lattice parameters and positions (GGA-PBE).

Largest 10 diffraction maxima, in order of rising 2θ, 10° ≤ 2θ ≤ 90°:
d/Å, two_theta, intensity, h k l
6.170, 14.4, 22, 0 0 1
3.969, 22.4, 20, 1 0 1
3.712, 24.0, 17, 1 0 -1
2.263, 39.8, 57, 0 2 2
2.246, 40.2, 100, 0 2 -1
2.184, 41.3, 38, 2 1 2
2.056, 44.0, 42, 0 0 3
1.975, 46.0, 33, 2 -1 0
1.800, 50.7, 21, 2 3 1
1.444, 64.5, 17, -2 1 3

Cell and atoms:
Lattice parameters (Å, degrees): 5.2764 5.8026 6.4051 74.91 80.95 68.39
Space group P-1 (No. 2)
One atom of each set of equivalent atoms:
Mg 0.0000 0.0000 0.0000
Zn 0.1073 0.1817 0.3619
Zn 0.2477 0.4989 0.0176
Zn 0.3063 0.6507 0.3527
Zn 0.5000 0.0000 0.0000
Ir 0.1975 0.3310 0.6967
Ir 0.3825 0.8245 0.6744

Please write out number 1 again, unchanged.
Computed powder diffraction line list of Er8Ru2Pb for Cu Kα, 1.54184 Å, from DFT lattice parameters and positions (GGA-PBE).

Largest 10 diffraction maxima, in order of rising 2θ, 10° ≤ 2θ ≤ 90°:
d/Å, two_theta, intensity, h k l
3.171, 28.1, 21, 4 0 -2
2.891, 30.9, 19, 6 0 -1
2.880, 31.1, 85, 3 1 1
2.839, 31.5, 71, 1 1 -2
2.719, 32.9, 50, 5 1 0
2.619, 34.2, 84, 0 2 0
2.535, 35.4, 100, 1 1 2
2.238, 40.3, 20, 7 1 -1
1.507, 61.5, 24, 11 1 -2
1.495, 62.1, 20, 1 3 2

Cell and atoms:
Lattice parameters (Å, degrees): 17.3444 5.2373 6.9162 90.00 113.47 90.00
Space group Cm (No. 8)
One atom of each set of equivalent atoms:
Er 0.0000 0.0000 0.0000
Er 0.0015 0.5000 0.2638
Er 0.1102 0.0000 0.6378
Er 0.1719 0.5000 0.0727
Er 0.2145 0.5000 0.5717
Er 0.2878 0.0000 0.1478
Er 0.3295 0.0000 0.7327
Er 0.3924 0.5000 0.4184
Ru 0.1728 0.0000 0.3380
Ru 0.3280 0.5000 0.9933
Pb 0.0005 0.5000 0.6992